No. 1
This entry pairs a crystal structure of Ti4AsPt with its simulated XRD peak list. Radiation: Cu Kα (weighted mean of Kα1 and Kα2). Structure: a PBE-relaxed structure.
Lines closer than 0.1° are merged.

Most intense lines, 2θ from 10° to 90°, sorted by position:
| 2theta | intensity | index |
| --- | --- | --- |
| 13.71 | 60 | 0 1 0 |
| 25.64 | 100 | 1 1 1 |
| 34.79 | 16 | 2 0 0 |
| 38.30 | 45 | 0 2 2 |
| 43.94 | 26 | 2 0 2 |
| 44.99 | 25 | 2 2 0 |
| 45.64 | 42 | 1 1 3 |
| 47.67 | 36 | 1 3 1 |
| 57.04 | 15 | 0 4 0 |
| 72.39 | 14 | 2 2 4 |

Cell and atoms:
abc: 5.158 6.457 6.855
angles: 90.00 90.00 90.00
Space group Pmna (No. 53)
One atom of each set of equivalent atoms:
Ti 0.000 0.138 0.143 (multiplicity 4)
Ti 0.250 0.257 0.750 (multiplicity 4)
As 0.000 0.500 0.000 (multiplicity 2)
Pt 0.000 0.000 0.500 (multiplicity 2)

=====

No. 2
This entry pairs a crystal structure of TlAs2Pt with its simulated XRD peak list. Radiation: Cu Kα (weighted mean of Kα1 and Kα2). Structure: a PBE-relaxed structure.
Lines closer than 0.1° are merged.

Most intense lines, 2θ from 10° to 90°, sorted by position:
| 2theta | intensity | index |
| --- | --- | --- |
| 26.91 | 20 | 0 0 6 |
| 27.18 | 34 | 0 1 2 |
| 31.41 | 100 | 1 0 4 |
| 44.84 | 25 | 0 1 8 |
| 45.18 | 43 | 1 1 0 |
| 53.08 | 17 | 1 0 10 |
| 53.38 | 19 | 1 1 6 |
| 56.06 | 20 | 0 2 4 |
| 71.83 | 10 | 0 1 14 |
| 74.74 | 17 | 2 1 4 |

Cell and atoms:
abc: 4.0136 4.0136 19.8757
angles: 90.00 90.00 120.00
Space group R-3m (No. 166, hexagonal axes)
One atom of each set of equivalent atoms:
Tl 0.0000 0.0000 0.0000 (multiplicity 3)
As 0.0000 0.0000 0.2208 (multiplicity 6)
Pt 0.0000 0.0000 0.5000 (multiplicity 3)

=====

No. 3
This entry pairs a crystal structure of YbAsPt with its simulated XRD peak list. Radiation: Cu Kα (weighted mean of Kα1 and Kα2). Structure: a PBE-relaxed structure.
Lines closer than 0.1° are merged.

Most intense lines, 2θ from 10° to 90°, sorted by position:
| 2theta | intensity | index |
| --- | --- | --- |
| 24.71 | 10 | 1 0 1 |
| 29.41 | 9 | 1 0 3 |
| 33.02 | 100 | 1 0 4 |
| 42.32 | 53 | 1 1 0 |
| 45.46 | 14 | 0 0 8 |
| 54.70 | 24 | 2 0 4 |
| 63.84 | 31 | 1 1 8 |
| 71.50 | 22 | 2 1 4 |
| 76.04 | 9 | 1 0 12 |
| 77.40 | 9 | 3 0 0 |

Cell and atoms:
abc: 4.2713 4.2713 15.9619
angles: 90.00 90.00 120.00
Space group P6_3/mmc (No. 194)
One atom of each set of equivalent atoms:
Yb 0.0000 0.0000 0.0000 (multiplicity 2)
Yb 0.0000 0.0000 0.2500 (multiplicity 2)
As 0.3333 0.6667 0.1293 (multiplicity 4)
Pt 0.3333 0.6667 0.6233 (multiplicity 4)

=====

No. 4
This entry pairs a crystal structure of Pu3As4 with its simulated XRD peak list. Radiation: Cu Kα (weighted mean of Kα1 and Kα2). Structure: a PBE-relaxed structure.
Lines closer than 0.1° are merged.

Most intense lines, 2θ from 10° to 90°, sorted by position:
| 2theta | intensity | index |
| --- | --- | --- |
| 25.49 | 71 | 2 1 1 |
| 33.10 | 100 | 3 1 0 |
| 39.39 | 70 | 3 2 1 |
| 47.51 | 37 | 4 2 0 |
| 49.98 | 24 | 3 3 2 |
| 52.37 | 10 | 4 2 2 |
| 54.68 | 24 | 4 3 1 |
| 67.46 | 38 | 6 1 1 |
| 71.43 | 17 | 5 4 1 |
| 82.89 | 26 | 5 5 2 |

Cell and atoms:
abc: 8.559 8.559 8.559
angles: 90.00 90.00 90.00
Space group I-43d (No. 220)
One atom of each set of equivalent atoms:
Pu 0.000 0.250 0.875 (multiplicity 12)
As 0.080 0.420 0.580 (multiplicity 16)

=====

No. 5
This entry pairs a crystal structure of PuAs3 with its simulated XRD peak list. Radiation: Cu Kα (weighted mean of Kα1 and Kα2). Structure: a PBE-relaxed structure.
Lines closer than 0.1° are merged.

Most intense lines, 2θ from 10° to 90°, sorted by position:
| 2theta | intensity | index |
| --- | --- | --- |
| 20.66 | 33 | 1 0 0 |
| 29.39 | 29 | 1 1 0 |
| 36.20 | 100 | 1 1 1 |
| 42.04 | 50 | 2 0 0 |
| 47.29 | 16 | 2 1 0 |
| 52.12 | 13 | 2 1 1 |
| 60.96 | 33 | 2 2 0 |
| 65.10 | 8 | 3 0 0 |
| 73.00 | 39 | 3 1 1 |
| 76.82 | 11 | 2 2 2 |

Cell and atoms:
abc: 4.298 4.298 4.298
angles: 90.00 90.00 90.00
Space group Pm-3m (No. 221)
One atom of each set of equivalent atoms:
Pu 0.000 0.000 0.000 (multiplicity 1)
As 0.000 0.500 0.500 (multiplicity 3)

=====

No. 6
This entry pairs a crystal structure of Pu4As6Rh5 with its simulated XRD peak list. Radiation: Cu Kα (weighted mean of Kα1 and Kα2). Structure: a PBE-relaxed structure.
Lines closer than 0.1° are merged.

Most intense lines, 2θ from 10° to 90°, sorted by position:
| 2theta | intensity | index |
| --- | --- | --- |
| 28.02 | 32 | 0 6 0 |
| 28.61 | 60 | 1 1 3 |
| 30.47 | 35 | 0 4 4 |
| 32.00 | 59 | 1 5 0 |
| 32.58 | 48 | 1 5 1 |
| 32.83 | 53 | 1 1 4 |
| 34.25 | 40 | 1 5 2 |
| 35.50 | 68 | 1 3 4 |
| 36.90 | 100 | 1 5 3 |
| 44.13 | 72 | 2 0 0 |

Cell and atoms:
abc: 4.104 19.109 14.879
angles: 90.00 90.00 90.00
Space group Cmc2_1 (No. 36)
One atom of each set of equivalent atoms:
Pu 0.000 0.008 0.000 (multiplicity 4)
Pu 0.000 0.026 0.269 (multiplicity 4)
Pu 0.000 0.168 0.806 (multiplicity 4)
Pu 0.000 0.182 0.441 (multiplicity 4)
As 0.000 0.118 0.619 (multiplicity 4)
As 0.000 0.219 0.992 (multiplicity 4)
As 0.000 0.228 0.255 (multiplicity 4)
As 0.000 0.417 0.900 (multiplicity 4)
As 0.000 0.427 0.630 (multiplicity 4)
As 0.000 0.432 0.358 (multiplicity 4)
Rh 0.000 0.146 0.127 (multiplicity 4)
Rh 0.000 0.303 0.122 (multiplicity 4)
Rh 0.000 0.344 0.764 (multiplicity 4)
Rh 0.000 0.354 0.490 (multiplicity 4)
Rh 0.000 0.446 0.178 (multiplicity 4)

=====

No. 7
This entry pairs a crystal structure of Pu2As4Rh3 with its simulated XRD peak list. Radiation: Cu Kα (weighted mean of Kα1 and Kα2). Structure: a PBE-relaxed structure.
Lines closer than 0.1° are merged.

Most intense lines, 2θ from 10° to 90°, sorted by position:
| 2theta | intensity | index |
| --- | --- | --- |
| 20.32 | 21 | 1 1 1 |
| 33.73 | 43 | 1 3 2 |
| 35.52 | 49 | 2 2 1 |
| 36.13 | 100 | 1 5 1 |
| 37.81 | 57 | 0 2 3 |
| 38.38 | 28 | 0 6 1 |
| 39.39 | 73 | 2 0 2 |
| 39.66 | 33 | 2 4 0 |
| 58.60 | 30 | 3 5 1 |
| 61.76 | 24 | 2 6 3 |

Cell and atoms:
abc: 5.757 14.808 7.539
angles: 90.00 90.00 90.00
Space group Cmce (No. 64)
One atom of each set of equivalent atoms:
Pu 0.000 0.110 0.082 (multiplicity 8)
As 0.000 0.183 0.462 (multiplicity 8)
As 0.250 0.052 0.750 (multiplicity 8)
Rh 0.000 0.000 0.500 (multiplicity 4)
Rh 0.250 0.220 0.750 (multiplicity 8)

=====

No. 8
This entry pairs a crystal structure of Pu2AsRh with its simulated XRD peak list. Radiation: Cu Kα (weighted mean of Kα1 and Kα2). Structure: a PBE-relaxed structure.
Lines closer than 0.1° are merged.

Most intense lines, 2θ from 10° to 90°, sorted by position:
| 2theta | intensity | index |
| --- | --- | --- |
| 27.31 | 56 | 1 1 -1 |
| 31.84 | 71 | 1 1 1 |
| 32.53 | 100 | 0 1 2 |
| 32.66 | 30 | 2 0 0 |
| 33.64 | 54 | 2 0 -2 |
| 39.44 | 48 | 2 1 0 |
| 41.16 | 29 | 1 1 -3 |
| 43.81 | 39 | 0 2 0 |
| 45.13 | 32 | 1 0 3 |
| 56.36 | 39 | 2 2 -2 |

Cell and atoms:
abc: 5.813 4.133 7.822
angles: 90.00 109.38 90.00
Space group P2_1/m (No. 11)
One atom of each set of equivalent atoms:
Pu 0.185 0.250 0.409 (multiplicity 2)
Pu 0.280 0.750 0.065 (multiplicity 2)
As 0.375 0.750 0.697 (multiplicity 2)
Rh 0.131 0.250 0.798 (multiplicity 2)

=====

Please write out number 1 again, unchanged.
This entry pairs a crystal structure of Ti4AsPt with its simulated XRD peak list. Radiation: Cu Kα (weighted mean of Kα1 and Kα2). Structure: a PBE-relaxed structure.
Lines closer than 0.1° are merged.

Most intense lines, 2θ from 10° to 90°, sorted by position:
| 2theta | intensity | index |
| --- | --- | --- |
| 13.71 | 60 | 0 1 0 |
| 25.64 | 100 | 1 1 1 |
| 34.79 | 16 | 2 0 0 |
| 38.30 | 45 | 0 2 2 |
| 43.94 | 26 | 2 0 2 |
| 44.99 | 25 | 2 2 0 |
| 45.64 | 42 | 1 1 3 |
| 47.67 | 36 | 1 3 1 |
| 57.04 | 15 | 0 4 0 |
| 72.39 | 14 | 2 2 4 |

Cell and atoms:
abc: 5.158 6.457 6.855
angles: 90.00 90.00 90.00
Space group Pmna (No. 53)
One atom of each set of equivalent atoms:
Ti 0.000 0.138 0.143 (multiplicity 4)
Ti 0.250 0.257 0.750 (multiplicity 4)
As 0.000 0.500 0.000 (multiplicity 2)
Pt 0.000 0.000 0.500 (multiplicity 2)